Record 1
Computed powder XRD pattern of Pr3Mg2CdPt2Au for copper Kα, from DFT lattice parameters and positions (GGA-PBE).
No peak broadening, texture or thermal motion is included.

Most intense lines, 2θ = 10–80°, by angle:
- d = 3.850 Å, 2θ 23.10, I = 33
- d = 3.510 Å, 2θ 25.38, I = 30
- d = 2.814 Å, 2θ 31.80, I = 61
- d = 2.601 Å, 2θ 34.48, I = 100
- d = 2.588 Å, 2θ 34.66, I = 23
- d = 2.236 Å, 2θ 40.34, I = 27
- d = 2.217 Å, 2θ 40.71, I = 19
- d = 2.153 Å, 2θ 41.95, I = 18
- d = 2.061 Å, 2θ 43.93, I = 27
- d = 1.515 Å, 2θ 61.16, I = 16

Cell and atoms:
a b c (Å): 4.122 7.701 7.701
angles (deg): 119.43 90.00 90.00
Fractional coordinates of all 9 atoms:
Pr (0.000, 0.000, 0.000)
Pr (0.000, 0.426, 0.835)
Pr (0.000, 0.835, 0.426)
Mg (0.500, 0.173, 0.421)
Mg (0.500, 0.421, 0.173)
Cd (0.500, 0.671, 0.671)
Pt (0.500, 0.099, 0.758)
Pt (0.500, 0.758, 0.099)
Au (0.000, 0.405, 0.405)

***

Record 2
Computed powder XRD pattern of SrMgCdAu2 for copper Kα, from DFT lattice parameters and positions (GGA-PBE).
No peak broadening, texture or thermal motion is included.

Most intense lines, 2θ = 10–80°, by angle:
- d = 4.137 Å, 2θ 21.48, I = 100
- d = 3.091 Å, 2θ 28.89, I = 52
- d = 3.057 Å, 2θ 29.22, I = 71
- d = 2.784 Å, 2θ 32.15, I = 65
- d = 2.226 Å, 2θ 40.53, I = 63
- d = 2.213 Å, 2θ 40.78, I = 82
- d = 2.185 Å, 2θ 41.31, I = 67
- d = 1.932 Å, 2θ 47.03, I = 27
- d = 1.778 Å, 2θ 51.40, I = 30
- d = 1.555 Å, 2θ 59.44, I = 54

Cell and atoms:
a b c (Å): 4.371 4.371 12.830
angles (deg): 90.00 90.00 90.00
Fractional coordinates of all 10 atoms:
Sr (0.000, 0.000, 0.000)
Sr (0.500, 0.500, 0.500)
Mg (0.000, 0.500, 0.250)
Mg (0.500, 0.000, 0.750)
Cd (0.000, 0.500, 0.750)
Cd (0.500, 0.000, 0.250)
Au (0.000, 0.000, 0.391)
Au (0.000, 0.000, 0.609)
Au (0.500, 0.500, 0.109)
Au (0.500, 0.500, 0.891)

***

Record 3
Computed powder XRD pattern of YMgCdAu for copper Kα, from DFT lattice parameters and positions (GGA-PBE).
No peak broadening, texture or thermal motion is included.

Most intense lines, 2θ = 10–80°, by angle:
- d = 4.036 Å, 2θ 22.02, I = 38
- d = 2.471 Å, 2θ 36.35, I = 100
- d = 2.108 Å, 2θ 42.91, I = 21
- d = 1.748 Å, 2θ 52.35, I = 17
- d = 1.604 Å, 2θ 57.47, I = 9
- d = 1.427 Å, 2θ 65.41, I = 35
- d = 1.345 Å, 2θ 69.93, I = 7
- d = 1.236 Å, 2θ 77.20, I = 11

Cell and atoms:
a b c (Å): 4.942 4.947 6.985
angles (deg): 90.00 90.00 90.00
Fractional coordinates of all 8 atoms:
Y (0.000, 0.000, 0.000)
Y (0.500, 0.500, 0.500)
Mg (0.000, 0.500, 0.751)
Mg (0.500, 0.000, 0.251)
Cd (0.000, 0.000, 0.500)
Cd (0.500, 0.500, 0.000)
Au (0.000, 0.500, 0.250)
Au (0.500, 0.000, 0.750)

***

Record 4
Computed powder XRD pattern of NbCdNiAu for copper Kα, from DFT lattice parameters and positions (GGA-PBE).
No peak broadening, texture or thermal motion is included.

Most intense lines, 2θ = 10–80°, by angle:
- d = 3.719 Å, 2θ 23.93, I = 19
- d = 3.221 Å, 2θ 27.70, I = 1
- d = 2.277 Å, 2θ 39.57, I = 100
- d = 1.942 Å, 2θ 46.77, I = 10
- d = 1.860 Å, 2θ 48.99, I = 1
- d = 1.610 Å, 2θ 57.20, I = 17
- d = 1.478 Å, 2θ 62.89, I = 4
- d = 1.440 Å, 2θ 64.72, I = 1
- d = 1.315 Å, 2θ 71.79, I = 33
- d = 1.240 Å, 2θ 76.90, I = 4

Cell and atoms:
a b c (Å): 6.442 6.442 6.442
angles (deg): 90.00 90.00 90.00
Fractional coordinates of all 16 atoms:
Nb (0.000, 0.000, 0.000)
Nb (0.000, 0.500, 0.500)
Nb (0.500, 0.000, 0.500)
Nb (0.500, 0.500, 0.000)
Cd (0.000, 0.000, 0.500)
Cd (0.000, 0.500, 0.000)
Cd (0.500, 0.000, 0.000)
Cd (0.500, 0.500, 0.500)
Ni (0.250, 0.250, 0.750)
Ni (0.250, 0.750, 0.250)
Ni (0.750, 0.250, 0.250)
Ni (0.750, 0.750, 0.750)
Au (0.250, 0.250, 0.250)
Au (0.250, 0.750, 0.750)
Au (0.750, 0.250, 0.750)
Au (0.750, 0.750, 0.250)

***

Record 5
Computed powder XRD pattern of Nd2YCd3Au3 for copper Kα, from DFT lattice parameters and positions (GGA-PBE).
No peak broadening, texture or thermal motion is included.

Most intense lines, 2θ = 10–80°, by angle:
- d = 3.945 Å, 2θ 22.54, I = 25
- d = 3.450 Å, 2θ 25.83, I = 19
- d = 2.808 Å, 2θ 31.87, I = 72
- d = 2.597 Å, 2θ 34.54, I = 100
- d = 2.586 Å, 2θ 34.69, I = 19
- d = 2.281 Å, 2θ 39.51, I = 40
- d = 2.171 Å, 2θ 41.61, I = 33
- d = 1.998 Å, 2θ 45.40, I = 25
- d = 1.502 Å, 2θ 61.76, I = 31
- d = 1.459 Å, 2θ 63.81, I = 25

Cell and atoms:
a b c (Å): 3.995 7.885 7.885
angles (deg): 119.81 90.00 90.00
Fractional coordinates of all 9 atoms:
Nd (0.000, 0.202, 0.798)
Nd (0.000, 0.798, 0.202)
Y (0.000, 0.394, 0.394)
Cd (0.500, 0.058, 0.058)
Cd (0.500, 0.538, 0.796)
Cd (0.500, 0.796, 0.538)
Au (0.000, 0.796, 0.796)
Au (0.500, 0.136, 0.464)
Au (0.500, 0.464, 0.136)

***

Record 6
Computed powder XRD pattern of Tb2TmCd3Pt2Au for copper Kα, from DFT lattice parameters and positions (GGA-PBE).
No peak broadening, texture or thermal motion is included.

Most intense lines, 2θ = 10–80°, by angle:
- d = 2.727 Å, 2θ 32.84, I = 69
- d = 2.524 Å, 2θ 35.57, I = 100
- d = 2.514 Å, 2θ 35.71, I = 18
- d = 2.223 Å, 2θ 40.59, I = 31
- d = 2.214 Å, 2θ 40.75, I = 15
- d = 2.111 Å, 2θ 42.83, I = 23
- d = 1.935 Å, 2θ 46.96, I = 22
- d = 1.459 Å, 2θ 63.78, I = 16
- d = 1.457 Å, 2θ 63.90, I = 11
- d = 1.420 Å, 2θ 65.78, I = 21

Cell and atoms:
a b c (Å): 3.870 7.680 7.680
angles (deg): 119.75 90.00 90.00
Fractional coordinates of all 9 atoms:
Tb (0.000, 0.204, 0.796)
Tb (0.000, 0.796, 0.204)
Tm (0.000, 0.388, 0.388)
Cd (0.500, 0.060, 0.060)
Cd (0.500, 0.532, 0.796)
Cd (0.500, 0.796, 0.532)
Pt (0.500, 0.133, 0.462)
Pt (0.500, 0.462, 0.133)
Au (0.000, 0.794, 0.794)

***

Record 7
Computed powder XRD pattern of RbCd6Au4 for copper Kα, from DFT lattice parameters and positions (GGA-PBE).
No peak broadening, texture or thermal motion is included.

Most intense lines, 2θ = 10–80°, by angle:
- d = 6.938 Å, 2θ 12.76, I = 39
- d = 3.036 Å, 2θ 29.42, I = 31
- d = 2.781 Å, 2θ 32.19, I = 77
- d = 2.622 Å, 2θ 34.19, I = 47
- d = 2.326 Å, 2θ 38.71, I = 43
- d = 2.285 Å, 2θ 39.44, I = 100
- d = 2.071 Å, 2θ 43.71, I = 41
- d = 1.740 Å, 2θ 52.59, I = 27
- d = 1.335 Å, 2θ 70.54, I = 30
- d = 1.330 Å, 2θ 70.86, I = 25

Cell and atoms:
a b c (Å): 8.012 8.012 4.653
angles (deg): 90.00 90.00 120.00
Fractional coordinates of all 11 atoms:
Rb (0.000, 0.000, 0.000)
Cd (0.071, 0.535, 0.000)
Cd (0.402, 0.201, 0.500)
Cd (0.465, 0.535, 0.000)
Cd (0.465, 0.929, 0.000)
Cd (0.799, 0.201, 0.500)
Cd (0.799, 0.598, 0.500)
Au (0.207, 0.414, 0.500)
Au (0.207, 0.793, 0.500)
Au (0.586, 0.793, 0.500)
Au (0.667, 0.333, 0.000)

***

Record 8
Computed powder XRD pattern of RbCdAuS2 for copper Kα, from DFT lattice parameters and positions (GGA-PBE).
No peak broadening, texture or thermal motion is included.

Most intense lines, 2θ = 10–80°, by angle:
- d = 6.940 Å, 2θ 12.76, I = 100
- d = 3.470 Å, 2θ 25.67, I = 41
- d = 3.207 Å, 2θ 27.82, I = 23
- d = 2.960 Å, 2θ 30.20, I = 23
- d = 2.895 Å, 2θ 30.89, I = 44
- d = 2.722 Å, 2θ 32.90, I = 31
- d = 2.693 Å, 2θ 33.26, I = 57
- d = 2.493 Å, 2θ 36.02, I = 34
- d = 2.252 Å, 2θ 40.04, I = 27
- d = 1.814 Å, 2θ 50.30, I = 21

Cell and atoms:
a b c (Å): 13.880 5.845 6.864
angles (deg): 90.00 90.00 90.00
Fractional coordinates of all 20 atoms:
Rb (0.000, 0.222, 0.250)
Rb (0.000, 0.778, 0.750)
Rb (0.500, 0.222, 0.750)
Rb (0.500, 0.778, 0.250)
Cd (0.250, 0.500, 0.063)
Cd (0.250, 0.500, 0.563)
Cd (0.750, 0.500, 0.437)
Cd (0.750, 0.500, 0.937)
Au (0.250, 0.000, 0.317)
Au (0.250, 0.000, 0.817)
Au (0.750, 0.000, 0.183)
Au (0.750, 0.000, 0.683)
S (0.136, 0.294, 0.815)
S (0.136, 0.706, 0.315)
S (0.364, 0.294, 0.315)
S (0.364, 0.706, 0.815)
S (0.636, 0.294, 0.185)
S (0.636, 0.706, 0.685)
S (0.864, 0.294, 0.685)
S (0.864, 0.706, 0.185)

***

Record 9
Computed powder XRD pattern of ScCdAu2 for copper Kα, from DFT lattice parameters and positions (GGA-PBE).
No peak broadening, texture or thermal motion is included.

Most intense lines, 2θ = 10–80°, by angle:
- d = 3.887 Å, 2θ 22.88, I = 23
- d = 3.366 Å, 2θ 26.48, I = 2
- d = 2.380 Å, 2θ 37.80, I = 100
- d = 2.030 Å, 2θ 44.64, I = 13
- d = 1.943 Å, 2θ 46.74, I = 1
- d = 1.683 Å, 2θ 54.52, I = 17
- d = 1.545 Å, 2θ 59.89, I = 6
- d = 1.505 Å, 2θ 61.61, I = 1
- d = 1.374 Å, 2θ 68.25, I = 35
- d = 1.296 Å, 2θ 73.03, I = 4

Cell and atoms:
a b c (Å): 6.732 6.732 6.732
angles (deg): 90.00 90.00 90.00
Fractional coordinates of all 16 atoms:
Sc (0.000, 0.000, 0.000)
Sc (0.000, 0.500, 0.500)
Sc (0.500, 0.000, 0.500)
Sc (0.500, 0.500, 0.000)
Cd (0.250, 0.250, 0.250)
Cd (0.250, 0.750, 0.750)
Cd (0.750, 0.250, 0.750)
Cd (0.750, 0.750, 0.250)
Au (0.000, 0.000, 0.500)
Au (0.000, 0.500, 0.000)
Au (0.250, 0.250, 0.750)
Au (0.250, 0.750, 0.250)
Au (0.500, 0.000, 0.000)
Au (0.500, 0.500, 0.500)
Au (0.750, 0.250, 0.250)
Au (0.750, 0.750, 0.750)

***

Record 10
Computed powder XRD pattern of Sc2Zn3CdAu2 for copper Kα, from DFT lattice parameters and positions (GGA-PBE).
No peak broadening, texture or thermal motion is included.

Most intense lines, 2θ = 10–80°, by angle:
- d = 3.793 Å, 2θ 23.45, I = 16
- d = 3.285 Å, 2θ 27.15, I = 23
- d = 2.323 Å, 2θ 38.77, I = 100
- d = 1.981 Å, 2θ 45.81, I = 9
- d = 1.897 Å, 2θ 47.97, I = 7
- d = 1.642 Å, 2θ 55.99, I = 17
- d = 1.507 Å, 2θ 61.52, I = 4
- d = 1.469 Å, 2θ 63.31, I = 9
- d = 1.341 Å, 2θ 70.18, I = 33
- d = 1.264 Å, 2θ 75.14, I = 3

Cell and atoms:
a b c (Å): 4.647 4.647 6.566
angles (deg): 90.00 90.00 90.00
Fractional coordinates of all 8 atoms:
Sc (0.000, 0.500, 0.239)
Sc (0.500, 0.000, 0.761)
Zn (0.000, 0.000, 0.000)
Zn (0.000, 0.500, 0.757)
Zn (0.500, 0.000, 0.243)
Cd (0.500, 0.500, 0.500)
Au (0.000, 0.000, 0.500)
Au (0.500, 0.500, 0.000)

***

Record 11
Computed powder XRD pattern of CdSnAu for copper Kα, from DFT lattice parameters and positions (GGA-PBE).
No peak broadening, texture or thermal motion is included.

Most intense lines, 2θ = 10–80°, by angle:
- d = 2.781 Å, 2θ 32.19, I = 100
- d = 2.771 Å, 2θ 32.31, I = 53
- d = 2.292 Å, 2θ 39.31, I = 33
- d = 2.268 Å, 2θ 39.75, I = 80
- d = 1.843 Å, 2θ 49.46, I = 16
- d = 1.766 Å, 2θ 51.76, I = 29
- d = 1.755 Å, 2θ 52.12, I = 16
- d = 1.535 Å, 2θ 60.31, I = 17
- d = 1.386 Å, 2θ 67.56, I = 27
- d = 1.275 Å, 2θ 74.40, I = 18

Cell and atoms:
a b c (Å): 5.985 5.985 11.084
angles (deg): 90.00 90.00 134.97
Fractional coordinates of all 12 atoms:
Cd (0.244, 0.756, 0.615)
Cd (0.244, 0.756, 0.885)
Cd (0.756, 0.244, 0.115)
Cd (0.756, 0.244, 0.385)
Sn (0.072, 0.928, 0.116)
Sn (0.072, 0.928, 0.384)
Sn (0.928, 0.072, 0.616)
Sn (0.928, 0.072, 0.884)
Au (0.413, 0.587, 0.119)
Au (0.413, 0.587, 0.381)
Au (0.587, 0.413, 0.619)
Au (0.587, 0.413, 0.881)

***

Record 12
Computed powder XRD pattern of Sr2Cd3Au for copper Kα, from DFT lattice parameters and positions (GGA-PBE).
No peak broadening, texture or thermal motion is included.

Most intense lines, 2θ = 10–80°, by angle:
- d = 5.688 Å, 2θ 15.58, I = 22
- d = 3.875 Å, 2θ 22.95, I = 26
- d = 3.006 Å, 2θ 29.72, I = 33
- d = 2.894 Å, 2θ 30.90, I = 80
- d = 2.868 Å, 2θ 31.18, I = 57
- d = 2.844 Å, 2θ 31.46, I = 21
- d = 2.496 Å, 2θ 35.99, I = 62
- d = 2.472 Å, 2θ 36.35, I = 100
- d = 2.460 Å, 2θ 36.52, I = 27
- d = 2.098 Å, 2θ 43.11, I = 27

Cell and atoms:
a b c (Å): 11.428 4.991 7.750
angles (deg): 90.00 131.69 90.00
Fractional coordinates of all 12 atoms:
Sr (0.000, 0.000, 0.000)
Sr (0.095, 0.000, 0.598)
Sr (0.500, 0.500, 0.000)
Sr (0.595, 0.500, 0.598)
Cd (0.207, 0.500, 0.009)
Cd (0.214, 0.500, 0.412)
Cd (0.382, 0.000, 0.197)
Cd (0.707, 0.000, 0.009)
Cd (0.714, 0.000, 0.412)
Cd (0.882, 0.500, 0.197)
Au (0.383, 0.000, 0.595)
Au (0.883, 0.500, 0.595)